Pb7Cl2F12: theoretical powder XRD pattern (Cu Kα, 1.54184 Å), based on a GGA-PBE-relaxed structure.

Crystal structure
```
data_Pb7Cl2F12
_cell_length_a 10.4032
_cell_length_b 10.4032
_cell_length_c 4.0273
_cell_angle_alpha 90.00
_cell_angle_beta 90.00
_cell_angle_gamma 120.00
_symmetry_space_group_name_H-M 'P -6'
_symmetry_Int_Tables_number 174
loop_
_symmetry_equiv_pos_as_xyz
'x,y,z'
'-x+y,-x,-z'
'-y,x-y,z'
'x,y,-z'
'-x+y,-x,z'
'-y,x-y,-z'
loop_
_atom_site_label
_atom_site_fract_x
_atom_site_fract_y
_atom_site_fract_z
Pb1 0.0000 0.0000 0.0000
Pb2 0.1071 0.4188 0.0000
Pb3 0.3976 0.2830 0.5000
Cl1 0.3333 0.6667 0.5000
Cl2 0.6667 0.3333 0.0000
F1 0.0486 0.6202 0.0000
F2 0.0724 0.8674 0.5000
F3 0.2784 0.1106 0.0000
F4 0.4269 0.0358 0.5000
```

Top 12 peaks for 2θ from 15° to 90°, low angle first:
2θ 24.21, I 25.0, hkl 1 0 1
2θ 26.17, I 100.0, hkl 1 2 0
2θ 28.02, I 53.4, hkl 1 1 1
2θ 29.76, I 47.7, hkl 2 0 1
2θ 34.49, I 29.5, hkl 2 1 1
2θ 42.58, I 29.8, hkl 3 1 1
2θ 45.02, I 15.8, hkl 0 0 2
2θ 46.18, I 43.9, hkl 4 1 0
2θ 49.57, I 31.4, hkl 2 3 1
2θ 52.82, I 32.7, hkl 1 2 2
2θ 66.46, I 23.2, hkl 4 1 2
2θ 72.73, I 25.9, hkl 2 4 2

PdCl2F: theoretical powder XRD pattern (Cu Kα, 1.54184 Å), based on a GGA-PBE-relaxed structure.

Crystal structure
```
data_PdCl2F
_cell_length_a 6.1431
_cell_length_b 5.4562
_cell_length_c 9.7591
_cell_angle_alpha 90.00
_cell_angle_beta 90.00
_cell_angle_gamma 90.00
_symmetry_space_group_name_H-M 'P n n a'
_symmetry_Int_Tables_number 52
loop_
_symmetry_equiv_pos_as_xyz
'x,y,z'
'-x,-y,-z'
'-x+1/2,-y,z'
'x+1/2,y,-z'
'x,-y+1/2,-z+1/2'
'-x,y+1/2,z+1/2'
'-x+1/2,y+1/2,-z+1/2'
'x+1/2,-y+1/2,z+1/2'
loop_
_atom_site_label
_atom_site_fract_x
_atom_site_fract_y
_atom_site_fract_z
Pd1 0.2500 0.0000 0.0963
Cl1 0.0715 0.2330 0.9159
F1 0.1378 0.2500 0.2500
```

Top 12 peaks for 2θ from 15° to 90°, low angle first:
2θ 17.06, I 48.9, hkl 1 0 1
2θ 18.18, I 17.4, hkl 0 0 2
2θ 18.63, I 100.0, hkl 0 1 1
2θ 28.52, I 73.0, hkl 1 1 2
2θ 33.48, I 14.0, hkl 2 1 0
2θ 34.75, I 32.0, hkl 2 1 1
2θ 35.29, I 24.8, hkl 1 1 3
2θ 37.22, I 14.0, hkl 1 2 1
2θ 44.41, I 23.7, hkl 2 2 0
2θ 45.86, I 43.9, hkl 1 2 3
2θ 51.19, I 16.7, hkl 3 1 2
2θ 52.83, I 20.9, hkl 3 0 3

PmZnClF4: theoretical powder XRD pattern (Cu Kα, 1.54184 Å), based on a GGA-PBE-relaxed structure.

Crystal structure
```
data_PmZnClF4
_cell_length_a 10.6654
_cell_length_b 7.3567
_cell_length_c 7.1513
_cell_angle_alpha 90.00
_cell_angle_beta 107.78
_cell_angle_gamma 90.00
_symmetry_space_group_name_H-M 'C 1 2/m 1'
_symmetry_Int_Tables_number 12
loop_
_symmetry_equiv_pos_as_xyz
'x,y,z'
'-x,-y,-z'
'-x,y,-z'
'x,-y,z'
'x+1/2,y+1/2,z'
'-x+1/2,-y+1/2,-z'
'-x+1/2,y+1/2,-z'
'x+1/2,-y+1/2,z'
loop_
_atom_site_label
_atom_site_fract_x
_atom_site_fract_y
_atom_site_fract_z
Pm1 0.2215 0.0000 0.1032
Zn1 0.1327 0.5000 0.2841
Cl1 0.0023 0.0000 0.7664
F1 0.0536 0.5000 0.8169
F2 0.2033 0.5000 0.5599
F3 0.2108 0.3160 0.1459
```

Top 12 peaks for 2θ from 15° to 90°, low angle first:
2θ 17.46, I 61.4, hkl 2 0 0
2θ 17.94, I 23.9, hkl 1 1 -1
2θ 24.20, I 100.0, hkl 0 2 0
2θ 24.87, I 52.8, hkl 2 0 1
2θ 27.75, I 50.6, hkl 1 1 -2
2θ 28.34, I 59.4, hkl 3 1 -1
2θ 33.41, I 31.8, hkl 3 1 -2
2θ 44.21, I 27.2, hkl 5 1 -1
2θ 44.82, I 23.6, hkl 1 3 -2
2θ 45.22, I 50.3, hkl 3 3 -1
2θ 48.74, I 26.7, hkl 3 3 -2
2θ 57.27, I 36.5, hkl 5 3 -1

Pr2ClF6: theoretical powder XRD pattern (Cu Kα, 1.54184 Å), based on a GGA-PBE-relaxed structure.

Crystal structure
```
data_Pr2ClF6
_cell_length_a 4.2567
_cell_length_b 6.9177
_cell_length_c 10.2568
_cell_angle_alpha 90.00
_cell_angle_beta 90.00
_cell_angle_gamma 90.00
_symmetry_space_group_name_H-M 'I m m m'
_symmetry_Int_Tables_number 71
_symmetry_space_group_name_Hall '-I 2 2'
loop_
_atom_site_label
_atom_site_fract_x
_atom_site_fract_y
_atom_site_fract_z
Pr1 0.0000 0.0000 0.1920
Cl1 0.0000 0.0000 0.5000
F1 0.0000 0.1837 0.0000
F2 0.0000 0.3182 0.3019
```

Top 12 peaks for 2θ from 15° to 90°, low angle first:
2θ 15.45, I 26.2, hkl 0 1 1
2θ 17.29, I 48.6, hkl 0 0 2
2θ 24.56, I 100.0, hkl 1 1 0
2θ 25.76, I 27.4, hkl 0 2 0
2θ 29.14, I 63.5, hkl 0 1 3
2θ 30.19, I 22.1, hkl 1 1 2
2θ 42.47, I 23.5, hkl 2 0 0
2θ 42.83, I 61.2, hkl 1 2 3
2θ 44.70, I 27.3, hkl 1 3 0
2θ 46.16, I 24.3, hkl 0 1 5
2θ 48.27, I 25.0, hkl 1 3 2
2θ 52.33, I 23.8, hkl 2 1 3

PtCl2F: theoretical powder XRD pattern (Cu Kα, 1.54184 Å), based on a GGA-PBE-relaxed structure.

Crystal structure
```
data_PtCl2F
_cell_length_a 6.1336
_cell_length_b 5.4546
_cell_length_c 9.8550
_cell_angle_alpha 90.00
_cell_angle_beta 90.00
_cell_angle_gamma 90.00
_symmetry_space_group_name_H-M 'P n n a'
_symmetry_Int_Tables_number 52
loop_
_symmetry_equiv_pos_as_xyz
'x,y,z'
'-x,-y,-z'
'-x+1/2,-y,z'
'x+1/2,y,-z'
'x,-y+1/2,-z+1/2'
'-x,y+1/2,z+1/2'
'-x+1/2,y+1/2,-z+1/2'
'x+1/2,-y+1/2,z+1/2'
loop_
_atom_site_label
_atom_site_fract_x
_atom_site_fract_y
_atom_site_fract_z
Pt1 0.2500 0.0000 0.0931
Cl1 0.0694 0.2346 0.9150
F1 0.1330 0.2500 0.2500
```

Top 12 peaks for 2θ from 15° to 90°, low angle first:
2θ 17.03, I 48.4, hkl 1 0 1
2θ 18.00, I 16.2, hkl 0 0 2
2θ 18.59, I 100.0, hkl 0 1 1
2θ 28.42, I 78.7, hkl 1 1 2
2θ 30.88, I 21.4, hkl 1 0 3
2θ 34.77, I 37.6, hkl 2 1 1
2θ 42.89, I 16.0, hkl 1 1 4
2θ 44.45, I 21.3, hkl 2 2 0
2θ 45.70, I 38.4, hkl 1 2 3
2θ 51.19, I 17.3, hkl 3 1 2
2θ 52.74, I 16.4, hkl 3 0 3
2θ 55.96, I 20.3, hkl 0 0 6

PtSClF: theoretical powder XRD pattern (Cu Kα, 1.54184 Å), based on a GGA-PBE-relaxed structure.

Crystal structure
```
data_PtSClF
_cell_length_a 3.3789
_cell_length_b 4.3150
_cell_length_c 7.4225
_cell_angle_alpha 105.57
_cell_angle_beta 90.16
_cell_angle_gamma 113.00
_symmetry_space_group_name_H-M 'P 1'
_symmetry_Int_Tables_number 1
loop_
_symmetry_equiv_pos_as_xyz
'x,y,z'
loop_
_atom_site_label
_atom_site_fract_x
_atom_site_fract_y
_atom_site_fract_z
Pt1 0.0000 0.0000 0.0000
S1 0.5112 0.0249 0.8043
Cl1 0.5089 0.0147 0.2312
F1 0.3165 0.6374 0.6376
```

Top 12 peaks for 2θ from 15° to 90°, low angle first:
2θ 23.10, I 84.6, hkl 0 1 -1
2θ 23.42, I 100.0, hkl 0 1 0
2θ 25.09, I 20.6, hkl 0 0 2
2θ 28.94, I 36.2, hkl 0 1 -2
2θ 29.75, I 37.6, hkl 0 1 1
2θ 30.16, I 48.1, hkl 1 -1 1
2θ 32.99, I 50.9, hkl 1 0 1
2θ 36.17, I 38.6, hkl 1 0 -2
2θ 36.28, I 38.4, hkl 1 -1 2
2θ 40.97, I 40.4, hkl 1 0 2
2θ 46.09, I 31.8, hkl 1 -2 2
2θ 51.47, I 19.2, hkl 1 0 3